Diffraction record for RbCu5Te4. The powder X-ray diffraction pattern is calculated, not measured: it uses a DFT-relaxed cell (PBE, Alexandria) and a wavelength of 1.5418 Å.
Lines closer than 0.1° are merged.

Atomic structure:
Unit cell a=12.015 b=12.026 c=3.868 alpha=90.00 beta=90.00 gamma=90.00
Space group Pmmn (No. 59, origin choice 2)
Inequivalent atoms, fractional coordinates:
Rb 0.250 0.250 0.079
Cu 0.141 0.641 0.982
Cu 0.250 0.750 0.481
Te 0.019 0.750 0.416
Te 0.250 0.519 0.553

Top 10 peaks for 10° ≤ 2θ ≤ 90°, by angle:
- (1 1 0), 10.4 deg, rel. 100
- (0 2 0), 14.7 deg, rel. 52
- (2 2 0), 20.9 deg, rel. 48
- (3 1 0), 23.4 deg, rel. 23
- (0 4 0), 29.7 deg, rel. 27
- (2 2 1), 31.3 deg, rel. 73
- (3 1 1), 33.0 deg, rel. 23
- (4 0 1), 37.9 deg, rel. 94
- (4 4 0), 42.5 deg, rel. 52
- (1 5 1), 45.0 deg, rel. 64

---

Diffraction record for Cs2YReO6. The powder X-ray diffraction pattern is calculated, not measured: it uses a DFT-relaxed cell (PBE, Alexandria) and a wavelength of 1.5418 Å.
Lines closer than 0.1° are merged.

Atomic structure:
Unit cell a=6.7202 b=6.7202 c=5.7989 alpha=90.00 beta=90.00 gamma=120.00
Space group P-3m1 (No. 164)
Inequivalent atoms, fractional coordinates:
Cs 0.3333 0.6667 0.3605
Y 0.0000 0.0000 0.0000
Re 0.0000 0.0000 0.5000
O 0.1300 0.2600 0.7024

Top 10 peaks for 10° ≤ 2θ ≤ 90°, by angle:
- (0 0 1), 15.2 deg, rel. 91
- (1 0 1), 21.6 deg, rel. 31
- (1 1 0), 26.5 deg, rel. 100
- (1 1 1), 30.8 deg, rel. 36
- (1 0 2), 34.5 deg, rel. 65
- (1 1 2), 41.1 deg, rel. 17
- (0 2 2), 44.1 deg, rel. 39
- (3 0 0), 46.8 deg, rel. 19
- (2 1 2), 52.2 deg, rel. 33
- (1 3 2), 66.3 deg, rel. 18

---

Diffraction record for NpTlBiO6. The powder X-ray diffraction pattern is calculated, not measured: it uses a DFT-relaxed cell (PBE, Alexandria) and a wavelength of 1.5418 Å.
Lines closer than 0.1° are merged.

Atomic structure:
Unit cell a=5.6746 b=5.6746 c=10.0914 alpha=90.00 beta=90.00 gamma=120.00
Space group P-31c (No. 163)
Inequivalent atoms, fractional coordinates:
Np 0.3333 0.6667 0.2500
Tl 0.3333 0.6667 0.7500
Bi 0.0000 0.0000 0.0000
O 0.0291 0.3604 0.1336

Top 10 peaks for 10° ≤ 2θ ≤ 90°, by angle:
- (0 0 2), 17.6 deg, rel. 12
- (1 0 2), 25.3 deg, rel. 100
- (1 1 0), 31.5 deg, rel. 56
- (1 1 2), 36.3 deg, rel. 12
- (2 0 2), 40.8 deg, rel. 29
- (1 1 4), 48.3 deg, rel. 47
- (2 1 2), 52.5 deg, rel. 28
- (3 0 0), 56.1 deg, rel. 17
- (3 0 4), 68.3 deg, rel. 12
- (4 -2 4), 77.1 deg, rel. 12

---

Diffraction record for ThSe2Br4. The powder X-ray diffraction pattern is calculated, not measured: it uses a DFT-relaxed cell (PBE, Alexandria) and a wavelength of 1.5418 Å.
Lines closer than 0.1° are merged.

Atomic structure:
Unit cell a=4.198 b=6.986 c=11.417 alpha=74.97 beta=79.56 gamma=89.74
Space group P-1 (No. 2)
Inequivalent atoms, fractional coordinates:
Th 0.000 0.000 0.000
Se 0.248 0.910 0.505
Br 0.098 0.316 0.795
Br 0.444 0.190 0.110

Top 10 peaks for 10° ≤ 2θ ≤ 90°, by angle:
- (0 1 0), 13.1 deg, rel. 95
- (0 0 2), 16.4 deg, rel. 35
- (0 1 2), 18.1 deg, rel. 49
- (0 1 -2), 23.6 deg, rel. 49
- (-1 1 1), 26.3 deg, rel. 100
- (-1 1 2), 30.2 deg, rel. 29
- (0 2 -2), 34.9 deg, rel. 26
- (-1 2 3), 40.2 deg, rel. 26
- (2 0 1), 43.1 deg, rel. 21
- (1 -3 1), 47.1 deg, rel. 24

---

Diffraction record for PmZnSn. The powder X-ray diffraction pattern is calculated, not measured: it uses a DFT-relaxed cell (PBE, Alexandria) and a wavelength of 1.5418 Å.
Lines closer than 0.1° are merged.

Atomic structure:
Unit cell a=4.503 b=8.484 c=7.794 alpha=90.00 beta=90.00 gamma=90.00
Space group Imm2 (No. 44)
Inequivalent atoms, fractional coordinates:
Pm 0.000 0.000 0.000
Pm 0.000 0.500 0.011
Zn 0.000 0.300 0.674
Sn 0.000 0.252 0.340

Top 10 peaks for 10° ≤ 2θ ≤ 90°, by angle:
- (0 0 2), 22.8 deg, rel. 8
- (1 2 1), 31.2 deg, rel. 100
- (2 0 0), 40.1 deg, rel. 50
- (0 4 0), 42.6 deg, rel. 10
- (2 2 2), 51.6 deg, rel. 24
- (2 4 0), 59.9 deg, rel. 23
- (3 2 1), 67.3 deg, rel. 22
- (1 6 1), 70.9 deg, rel. 9
- (3 0 3), 72.8 deg, rel. 9
- (3 4 3), 88.2 deg, rel. 8

---

Diffraction record for NpGa2I5. The powder X-ray diffraction pattern is calculated, not measured: it uses a DFT-relaxed cell (PBE, Alexandria) and a wavelength of 1.5418 Å.
Lines closer than 0.1° are merged.

Atomic structure:
Unit cell a=6.026 b=15.537 c=9.306 alpha=90.00 beta=108.78 gamma=90.00
Space group C2/m (No. 12)
Inequivalent atoms, fractional coordinates:
Np 0.000 0.000 0.000
Ga 0.239 0.000 0.479
I 0.000 0.500 0.000
I 0.126 0.136 0.253

Top 10 peaks for 10° ≤ 2θ ≤ 90°, by angle:
- (0 0 1), 10.0 deg, rel. 24
- (0 2 0), 11.4 deg, rel. 90
- (1 1 0), 16.6 deg, rel. 100
- (0 2 2), 23.2 deg, rel. 75
- (1 3 -2), 27.3 deg, rel. 37
- (2 0 -1), 29.6 deg, rel. 53
- (0 4 2), 30.7 deg, rel. 92
- (1 3 2), 34.2 deg, rel. 27
- (2 2 1), 38.0 deg, rel. 35
- (2 4 1), 43.2 deg, rel. 72

---

Diffraction record for CsK. The powder X-ray diffraction pattern is calculated, not measured: it uses a DFT-relaxed cell (PBE, Alexandria) and a wavelength of 1.5418 Å.
Lines closer than 0.1° are merged.

Atomic structure:
Unit cell a=5.0156 b=5.0156 c=17.4265 alpha=90.00 beta=90.00 gamma=120.00
Space group P6_3mc (No. 186)
Inequivalent atoms, fractional coordinates:
Cs 0.3333 0.6667 0.0000
K 0.3333 0.6667 0.2638

Top 10 peaks for 10° ≤ 2θ ≤ 90°, by angle:
- (0 0 2), 10.2 deg, rel. 49
- (0 0 4), 20.4 deg, rel. 70
- (1 0 1), 21.1 deg, rel. 100
- (1 0 3), 25.6 deg, rel. 75
- (1 0 4), 29.0 deg, rel. 24
- (1 0 5), 32.9 deg, rel. 25
- (1 1 0), 35.8 deg, rel. 28
- (1 1 4), 41.5 deg, rel. 41
- (1 0 7), 41.9 deg, rel. 39
- (2 0 7), 56.3 deg, rel. 23

---

Diffraction record for AlSiNi. The powder X-ray diffraction pattern is calculated, not measured: it uses a DFT-relaxed cell (PBE, Alexandria) and a wavelength of 1.5418 Å.
Lines closer than 0.1° are merged.

Atomic structure:
Unit cell a=2.775 b=2.775 c=5.427 alpha=90.00 beta=90.00 gamma=90.00
Space group P4mm (No. 99)
Inequivalent atoms, fractional coordinates:
Al 0.000 0.000 0.000
Si 0.000 0.000 0.544
Ni 0.500 0.500 0.291

Top 10 peaks for 10° ≤ 2θ ≤ 90°, by angle:
- (0 0 1), 16.3 deg, rel. 95
- (1 0 1), 36.4 deg, rel. 81
- (1 1 0), 46.3 deg, rel. 54
- (1 0 2), 46.8 deg, rel. 100
- (1 1 1), 49.4 deg, rel. 20
- (2 0 0), 67.5 deg, rel. 17
- (1 1 3), 70.9 deg, rel. 14
- (2 1 1), 79.2 deg, rel. 14
- (2 1 2), 86.2 deg, rel. 32
- (1 1 4), 87.4 deg, rel. 13

---

Diffraction record for Pm4Cd3Au5. The powder X-ray diffraction pattern is calculated, not measured: it uses a DFT-relaxed cell (PBE, Alexandria) and a wavelength of 1.5418 Å.
Lines closer than 0.1° are merged.

Atomic structure:
Unit cell a=5.401 b=5.395 c=20.940 alpha=90.00 beta=94.67 gamma=90.00
Space group C2/m (No. 12)
Inequivalent atoms, fractional coordinates:
Pm 0.139 0.000 0.140
Pm 0.197 0.000 0.325
Cd 0.000 0.500 0.000
Cd 0.165 0.500 0.226
Au 0.000 0.000 0.000
Au 0.218 0.500 0.394
Au 0.241 0.000 0.469

Top 10 peaks for 10° ≤ 2θ ≤ 90°, by angle:
- (0 2 0), 33.2 deg, rel. 100
- (1 1 -6), 33.9 deg, rel. 13
- (1 1 6), 35.9 deg, rel. 49
- (1 1 -7), 37.2 deg, rel. 43
- (1 1 7), 39.4 deg, rel. 10
- (2 2 -1), 47.7 deg, rel. 37
- (1 3 6), 61.1 deg, rel. 11
- (1 3 -7), 62.0 deg, rel. 10
- (0 4 0), 69.7 deg, rel. 8
- (2 4 -1), 79.4 deg, rel. 12

---

Diffraction record for La4ZnGe3. The powder X-ray diffraction pattern is calculated, not measured: it uses a DFT-relaxed cell (PBE, Alexandria) and a wavelength of 1.5418 Å.
Lines closer than 0.1° are merged.

Atomic structure:
Unit cell a=4.197 b=4.540 c=11.477 alpha=90.00 beta=90.00 gamma=90.00
Space group Pmm2 (No. 25)
Inequivalent atoms, fractional coordinates:
La 0.000 0.000 0.000
La 0.000 0.500 0.498
La 0.500 0.000 0.277
La 0.500 0.500 0.779
Zn 0.500 0.000 0.572
Ge 0.000 0.000 0.713
Ge 0.000 0.500 0.214
Ge 0.500 0.500 0.062

Top 10 peaks for 10° ≤ 2θ ≤ 90°, by angle:
- (1 0 2), 26.3 deg, rel. 21
- (1 1 1), 30.0 deg, rel. 100
- (0 1 3), 30.6 deg, rel. 44
- (0 0 4), 31.2 deg, rel. 26
- (1 1 3), 37.5 deg, rel. 56
- (1 0 4), 38.0 deg, rel. 20
- (0 2 0), 39.7 deg, rel. 27
- (2 0 0), 43.1 deg, rel. 22
- (2 1 3), 53.8 deg, rel. 18
- (2 2 0), 60.0 deg, rel. 32

---

Diffraction record for Li3TbCd2. The powder X-ray diffraction pattern is calculated, not measured: it uses a DFT-relaxed cell (PBE, Alexandria) and a wavelength of 1.5418 Å.
Lines closer than 0.1° are merged.

Atomic structure:
Unit cell a=14.251 b=4.508 c=9.839 alpha=90.00 beta=126.40 gamma=90.00
Space group C2/m (No. 12)
Inequivalent atoms, fractional coordinates:
Li 0.061 0.000 0.384
Li 0.062 0.500 0.677
Li 0.230 0.500 0.575
Tb 0.139 0.000 0.012
Cd 0.078 0.500 0.202
Cd 0.187 0.000 0.729

Top 10 peaks for 10° ≤ 2θ ≤ 90°, by angle:
- (0 0 1), 11.2 deg, rel. 100
- (1 1 1), 26.1 deg, rel. 48
- (3 1 -1), 27.4 deg, rel. 55
- (4 0 -3), 29.4 deg, rel. 33
- (3 1 0), 30.7 deg, rel. 46
- (1 1 -3), 36.1 deg, rel. 60
- (5 1 -2), 37.3 deg, rel. 46
- (4 0 1), 39.3 deg, rel. 28
- (0 2 0), 40.0 deg, rel. 28
- (4 2 1), 57.3 deg, rel. 17